Record 1
Diffraction record for LiTb6Ho2. The XRD peak list is computed, not measured: it uses DFT lattice parameters and positions (PBE) and copper Kα.

Cell and atoms:
Lattice parameters (Å, degrees): 3.473 10.324 15.703 90.00 90.00 90.00
Space group Immm (No. 71)
Inequivalent atoms, fractional coordinates:
Li1 0.000 0.000 0.000
Tb1 0.000 0.167 0.175
Tb2 0.000 0.176 0.500
Ho1 0.000 0.500 0.161

Top 6 peaks for 2θ from 10° to 90°, by angle:
2theta	Rel. int.	index
30.90	100	1 0 3
31.10	99	0 3 3
34.26	37	0 0 6
36.76	63	1 3 0
51.13	47	1 3 6
62.47	27	2 3 3


Record 2
Diffraction record for Tl2PtC2O6. The XRD peak list is computed, not measured: it uses DFT lattice parameters and positions (PBE) and copper Kα.

Cell and atoms:
Lattice parameters (Å, degrees): 11.900 5.143 6.376 90.00 114.56 90.00
Space group C2/m (No. 12)
Inequivalent atoms, fractional coordinates:
Tl1 0.189 0.000 0.225
Pt1 0.000 0.000 0.500
C1 0.008 0.500 0.724
O1 0.074 0.284 0.746
O2 0.104 0.500 0.310

Top 6 peaks for 2θ from 10° to 90°, by angle:
2theta	Rel. int.	index
19.11	64	1 1 0
26.64	100	1 1 1
28.88	56	3 1 -1
30.08	57	4 0 -1
35.23	52	3 1 -2
45.47	60	5 1 0


Record 3
Diffraction record for K2BiI5. The XRD peak list is computed, not measured: it uses DFT lattice parameters and positions (PBE) and copper Kα.

Cell and atoms:
Lattice parameters (Å, degrees): 7.059 8.563 9.089 92.93 112.73 114.34
Space group P1 (No. 1)
Inequivalent atoms, fractional coordinates:
K1 0.000 0.000 0.000
K2 0.112 0.685 0.537
Bi1 0.581 0.343 0.769
I1 0.000 0.344 0.769
I2 0.184 0.095 0.436
I3 0.475 0.023 0.927
I4 0.637 0.663 0.610
I5 0.762 0.591 0.101

Top 6 peaks for 2θ from 10° to 90°, by angle:
2theta	Rel. int.	index
10.90	100	0 0 1
14.34	100	1 -1 0
23.39	86	0 2 -1
25.23	75	-2 1 1
27.43	72	0 1 2
27.95	55	0 2 -2


Record 4
Diffraction record for NpU2Ge. The XRD peak list is computed, not measured: it uses DFT lattice parameters and positions (PBE) and copper Kα.

Cell and atoms:
Lattice parameters (Å, degrees): 5.198 6.349 10.362 90.00 110.49 90.00
Space group P2/c (No. 13)
Inequivalent atoms, fractional coordinates:
Np1 0.181 0.133 0.122
U1 0.115 0.348 0.581
U2 0.378 0.334 0.367
Ge1 0.330 0.139 0.861

Top 6 peaks for 2θ from 10° to 90°, by angle:
2theta	Rel. int.	index
16.69	24	0 1 1
34.98	61	2 0 -2
36.71	100	1 2 1
37.05	40	0 0 4
39.54	70	1 2 -3
47.27	23	2 0 2


Record 5
Diffraction record for AuBr. The XRD peak list is computed, not measured: it uses DFT lattice parameters and positions (PBE) and copper Kα.

Cell and atoms:
Lattice parameters (Å, degrees): 3.697 8.009 8.958 90.00 90.00 90.00
Space group Cmme (No. 67)
Inequivalent atoms, fractional coordinates:
Au1 0.000 0.250 0.104
Br1 0.000 0.250 0.700

Top 6 peaks for 2θ from 10° to 90°, by angle:
2theta	Rel. int.	index
22.20	95	0 2 0
24.35	33	0 2 1
33.36	100	1 1 2
40.43	56	1 1 3
46.61	40	1 3 2
52.20	27	1 3 3


Record 6
Diffraction record for KPrCuSe2. The XRD peak list is computed, not measured: it uses DFT lattice parameters and positions (PBE) and copper Kα.

Cell and atoms:
Lattice parameters (Å, degrees): 7.868 4.700 8.449 90.00 99.90 90.00
Space group P2/c (No. 13)
Inequivalent atoms, fractional coordinates:
K1 0.000 0.180 0.250
Pr1 0.500 0.490 0.750
Cu1 0.500 0.000 0.000
Se1 0.259 0.301 0.965

Top 6 peaks for 2θ from 10° to 90°, by angle:
2theta	Rel. int.	index
11.42	100	1 0 0
25.46	40	1 1 1
28.65	40	2 0 -2
29.49	30	1 1 -2
32.32	34	1 1 2
34.54	26	2 1 -2


Record 7
Diffraction record for Na4Sb3Te8As. The XRD peak list is computed, not measured: it uses DFT lattice parameters and positions (PBE) and copper Kα.

Cell and atoms:
Lattice parameters (Å, degrees): 8.7661 8.7661 22.8521 90.00 90.00 120.00
Space group R-3m (No. 166, hexagonal axes)
Inequivalent atoms, fractional coordinates:
Na1 0.0000 0.0000 0.0000
Na2 0.0000 0.5000 0.0000
Sb1 0.0000 0.5000 0.5000
Te1 0.0000 0.0000 0.2441
Te2 0.0141 0.5070 0.2412
As1 0.0000 0.0000 0.5000

Top 6 peaks for 2θ from 10° to 90°, by angle:
2theta	Rel. int.	index
11.62	28	0 0 3
28.23	100	0 2 4
39.48	37	2 0 8
41.19	36	2 2 0
50.68	19	4 0 4
67.29	16	2 4 4


Record 8
Diffraction record for Al2Ni5. The XRD peak list is computed, not measured: it uses DFT lattice parameters and positions (PBE) and copper Kα.

Cell and atoms:
Lattice parameters (Å, degrees): 5.876 11.076 5.097 90.00 90.00 90.00
Space group Cccm (No. 66)
Inequivalent atoms, fractional coordinates:
Al1 0.202 0.108 0.000
Ni1 0.000 0.269 0.250
Ni2 0.000 0.500 0.250
Ni3 0.215 0.117 0.500

Top 6 peaks for 2θ from 10° to 90°, by angle:
2theta	Rel. int.	index
24.48	21	1 1 1
39.39	29	1 1 2
43.67	26	1 5 0
44.99	83	2 4 0
47.19	100	2 0 2
48.55	74	0 4 2